NdGdZn2In2: theoretical powder diffraction line list (a wavelength of 1.5418 Å), based on a DFT-relaxed cell (GGA-PBE, OQMD).
Intensities are scaled so that the largest is 100.

Most intense lines, 2θ from 15° to 90°, in order of rising 2θ:
2θ (°)	d/Å	I (rel.)
32.45	2.759	100
38.26	2.352	67
51.02	1.790	28
63.45	1.466	18
65.53	1.424	26
69.18	1.358	11

```
6
Lattice="4.7043 0.0000 0.0000 -2.3521 4.0740 0.0000 0.0000 0.0000 7.4993" Properties=species:S:1:pos:R:3 pbc="T T T"
Nd 0.0000 0.0000 0.0000
Gd 0.0000 0.0000 3.7535
Zn 0.0000 2.7160 1.5318
Zn 2.3521 1.3580 5.1992
In 0.0000 2.7160 5.7693
In 2.3521 1.3580 2.1015
```

***

Dy4Lu3Ni2Te2: theoretical powder diffraction line list (a wavelength of 1.5418 Å), based on a DFT-relaxed cell (GGA-PBE, OQMD).
Intensities are scaled so that the largest is 100.

Most intense lines, 2θ from 15° to 90°, in order of rising 2θ:
2θ (°)	d/Å	I (rel.)
30.60	2.922	53
33.22	2.697	80
34.36	2.610	100
34.84	2.575	74
47.64	1.909	29
59.33	1.558	37

```
11
Lattice="-1.9089 7.7209 4.7488 1.9089 -7.7209 4.7488 1.9089 7.7209 -4.7488" Properties=species:S:1:pos:R:3 pbc="T T T"
Dy 0.0000 2.2448 0.0000
Dy 1.9089 4.8750 -1.4069
Dy 0.0000 2.8460 3.3419
Dy 0.0000 13.1971 0.0000
Lu 1.9089 0.0000 2.1760
Lu 0.0000 5.6458 1.3954
Lu 0.0000 9.7960 1.3954
Ni 1.9089 3.6787 1.5113
Ni 0.0000 4.0423 6.2601
Te 0.0000 0.0000 4.7244
Te 0.0000 7.7209 3.6807
```

***

TlReHg3Te4: theoretical powder diffraction line list (a wavelength of 1.5418 Å), based on a DFT-relaxed cell (GGA-PBE, OQMD).
Intensities are scaled so that the largest is 100.

Most intense lines, 2θ from 15° to 90°, in order of rising 2θ:
2θ (°)	d/Å	I (rel.)
21.63	4.109	70
25.02	3.559	17
35.68	2.517	100
42.10	2.146	35
51.35	1.779	16
64.09	1.453	31

```
9
Lattice="7.1178 0.0000 0.0000 0.0000 7.1178 0.0000 0.0000 0.0000 7.1178" Properties=species:S:1:pos:R:3 pbc="T T T"
Tl 0.0000 0.0000 0.0000
Re 3.5589 3.5589 3.5589
Hg 0.0000 3.5589 3.5589
Hg 3.5589 0.0000 3.5589
Hg 3.5589 3.5589 0.0000
Te 1.9996 1.9996 1.9996
Te 1.9996 5.1182 5.1182
Te 5.1182 1.9996 5.1182
Te 5.1182 5.1182 1.9996
```

***

K8Tl10Zn: theoretical powder diffraction line list (a wavelength of 1.5418 Å), based on a DFT-relaxed cell (GGA-PBE, OQMD).
Intensities are scaled so that the largest is 100.

Most intense lines, 2θ from 15° to 90°, in order of rising 2θ:
2θ (°)	d/Å	I (rel.)
22.85	3.892	31
27.68	3.223	63
33.18	2.700	100
33.40	2.682	33
37.44	2.402	49
38.44	2.342	40

```
38
Lattice="10.4721 0.0000 0.0000 0.0000 10.4721 0.0000 0.0000 0.0000 13.9911" Properties=species:S:1:pos:R:3 pbc="T T T"
K 0.4801 7.0824 1.4660
K 0.4801 8.6258 5.5296
K 1.8464 5.7162 8.4616
K 1.8464 9.9920 12.5251
K 3.3897 5.7162 12.5251
K 3.3897 9.9920 8.4616
K 4.7560 7.0824 5.5296
K 4.7560 8.6258 1.4660
K 5.7162 1.8464 12.5251
K 5.7162 3.3897 8.4616
K 7.0824 0.4801 5.5296
K 7.0824 4.7560 1.4660
K 8.6258 0.4801 1.4660
K 8.6258 4.7560 5.5296
K 9.9920 1.8464 8.4616
K 9.9920 3.3897 12.5251
Tl 0.1001 1.6200 4.7533
Tl 0.1001 3.6161 2.2422
Tl 1.6200 0.1001 2.2422
Tl 1.6200 5.1359 4.7533
Tl 2.6180 2.6180 0.5438
Tl 2.6180 2.6180 6.4518
Tl 3.6161 0.1001 4.7533
Tl 3.6161 5.1359 2.2422
Tl 5.1359 1.6200 2.2422
Tl 5.1359 3.6161 4.7533
Tl 5.3362 6.8561 9.2378
Tl 5.3362 8.8521 11.7489
Tl 6.8561 5.3362 11.7489
Tl 6.8561 10.3720 9.2378
Tl 7.8541 7.8541 7.5394
Tl 7.8541 7.8541 13.4473
Tl 8.8521 5.3362 9.2378
Tl 8.8521 10.3720 11.7489
Tl 10.3720 6.8561 11.7489
Tl 10.3720 8.8521 9.2378
Zn 2.6180 2.6180 3.4978
Zn 7.8541 7.8541 10.4934
```

***

Nd2SiO5: theoretical powder diffraction line list (a wavelength of 1.5418 Å), based on a DFT-relaxed cell (GGA-PBE, OQMD).
Intensities are scaled so that the largest is 100.

Most intense lines, 2θ from 15° to 90°, in order of rising 2θ:
2θ (°)	d/Å	I (rel.)
28.51	3.131	100
30.35	2.945	29
31.70	2.822	33
31.85	2.810	37
32.57	2.749	39
45.26	2.004	27

```
32
Lattice="9.2810 0.0000 0.0000 0.0000 7.1157 0.0000 -2.1108 0.0000 6.5670" Properties=species:S:1:pos:R:3 pbc="T T T"
Nd -0.2413 0.8636 1.5549
Nd -1.2967 2.6942 4.8384
Nd 3.4208 1.0504 0.5987
Nd 2.3654 2.5074 3.8823
Nd 4.8047 4.6082 2.6848
Nd 3.7493 6.0652 5.9683
Nd 8.4669 4.4215 1.7286
Nd 7.4115 6.2520 5.0122
Si 2.6570 4.2052 0.3036
Si 1.6016 6.4683 3.5872
Si 5.5685 0.6474 2.9799
Si 4.5131 2.9104 6.2634
O -1.0284 4.5575 6.5214
O 0.0270 6.1160 3.2379
O -0.9045 0.8650 6.2696
O 0.1509 2.6928 2.9861
O 2.0110 0.4397 2.3998
O 0.9556 3.1181 5.6833
O 1.7555 0.2740 4.9267
O 2.8109 3.2838 1.6432
O 2.5620 5.1779 3.7233
O 3.6174 5.4956 0.4398
O 3.5527 1.6201 6.1273
O 4.6081 1.9378 2.8438
O 4.3593 3.8319 4.9238
O 5.4147 6.8416 1.6403
O 6.2145 3.9975 0.8837
O 5.1591 6.6759 4.1673
O 7.0193 4.4228 3.5810
O 8.0747 6.2507 0.2974
O 7.1431 0.9996 3.3291
O 8.1986 2.5582 0.0456
```

***

Nb3GeB2: theoretical powder diffraction line list (a wavelength of 1.5418 Å), based on a DFT-relaxed cell (GGA-PBE, OQMD).
Intensities are scaled so that the largest is 100.

Most intense lines, 2θ from 15° to 90°, in order of rising 2θ:
2θ (°)	d/Å	I (rel.)
31.88	2.807	33
37.29	2.411	100
39.50	2.281	18
40.23	2.242	33
56.08	1.640	31
70.75	1.332	18

```
12
Lattice="3.2800 0.0000 0.0000 -1.6400 2.8406 0.0000 0.0000 0.0000 18.2517" Properties=species:S:1:pos:R:3 pbc="T T T"
Nb 0.0000 0.0000 0.0000
Nb 0.0000 0.0000 9.1258
Nb 0.0000 1.8937 2.5669
Nb 0.0000 1.8937 6.5590
Nb 1.6400 0.9469 11.6927
Nb 1.6400 0.9469 15.6848
Ge 0.0000 0.0000 4.5629
Ge 0.0000 0.0000 13.6887
B 0.0000 1.8937 10.4730
B 0.0000 1.8937 16.9045
B 1.6400 0.9469 1.3471
B 1.6400 0.9469 7.7787
```

***

Dy2Al2Fe15: theoretical powder diffraction line list (a wavelength of 1.5418 Å), based on a DFT-relaxed cell (GGA-PBE, OQMD).
Intensities are scaled so that the largest is 100.

Most intense lines, 2θ from 15° to 90°, in order of rising 2θ:
2θ (°)	d/Å	I (rel.)
30.37	2.943	29
37.56	2.395	22
41.01	2.201	13
43.33	2.088	25
43.59	2.076	100
63.19	1.471	14

```
38
Lattice="8.2951 0.0000 0.0000 -4.1476 7.1838 0.0000 0.0000 0.0000 8.3528" Properties=species:S:1:pos:R:3 pbc="T T T"
Dy 0.0000 0.0000 2.0882
Dy 0.0000 0.0000 6.2646
Dy 0.0000 4.7892 2.0882
Dy 4.1476 2.3946 6.2646
Al 0.0000 4.7892 5.0158
Al 0.0000 4.7892 7.5134
Al 4.1476 2.3946 0.8394
Al 4.1476 2.3946 3.3370
Fe -2.0738 3.5919 0.0000
Fe -2.0738 3.5919 4.1764
Fe -1.2287 2.6222 6.2646
Fe -2.4911 4.8086 6.2646
Fe 0.0000 2.3747 0.0994
Fe 0.0000 2.3747 4.0770
Fe -2.0911 5.9965 0.0994
Fe -2.0911 5.9965 4.0770
Fe 2.0565 1.1873 4.2758
Fe 2.0565 1.1873 8.2534
Fe 1.2287 2.6222 6.2646
Fe -1.2623 6.9368 6.2646
Fe 2.8853 0.2470 2.0882
Fe 1.6565 2.3752 2.0882
Fe 4.1476 0.0000 0.0000
Fe 4.1476 0.0000 4.1764
Fe 2.0738 3.5919 0.0000
Fe 2.0738 3.5919 4.1764
Fe 2.4911 4.8086 6.2646
Fe 1.2623 6.9368 6.2646
Fe 5.4099 0.2470 2.0882
Fe 2.9188 4.5616 2.0882
Fe 2.0911 5.9965 0.0994
Fe 2.0911 5.9965 4.0770
Fe 6.2386 1.1873 4.2758
Fe 6.2386 1.1873 8.2534
Fe 4.1476 4.8092 4.2758
Fe 4.1476 4.8092 8.2534
Fe 6.6386 2.3752 2.0882
Fe 5.3763 4.5616 2.0882
```

***

Zr2AlBiPt2: theoretical powder diffraction line list (a wavelength of 1.5418 Å), based on a DFT-relaxed cell (GGA-PBE, OQMD).
Intensities are scaled so that the largest is 100.

Most intense lines, 2θ from 15° to 90°, in order of rising 2θ:
2θ (°)	d/Å	I (rel.)
24.14	3.686	57
39.94	2.257	100
47.18	1.926	18
63.52	1.465	11
72.49	1.304	22
72.62	1.302	11

```
12
Lattice="-3.1954 3.1954 6.3716 3.1954 -3.1954 6.3716 3.1954 3.1954 -6.3716" Properties=species:S:1:pos:R:3 pbc="T T T"
Zr 0.0000 0.0000 3.1335
Zr 0.0000 3.1954 0.0523
Zr 0.0000 0.0000 9.6098
Zr 0.0000 3.1954 6.3193
Al 0.0000 0.0000 0.0000
Al 0.0000 3.1954 3.1858
Bi 3.1954 0.0000 3.1858
Bi 0.0000 0.0000 6.3716
Pt 1.5977 1.4588 -1.5929
Pt 1.7366 -1.5977 7.9646
Pt 1.5977 1.7366 4.7787
Pt 1.4588 4.7931 1.5929
```

***

YZrS2Br2: theoretical powder diffraction line list (a wavelength of 1.5418 Å), based on a DFT-relaxed cell (GGA-PBE, OQMD).
Intensities are scaled so that the largest is 100.

Most intense lines, 2θ from 15° to 90°, in order of rising 2θ:
2θ (°)	d/Å	I (rel.)
19.63	4.523	96
30.44	2.937	41
30.82	2.901	100
33.99	2.637	43
42.33	2.135	31
46.54	1.952	61

```
6
Lattice="3.8611 0.0000 0.0000 0.0000 5.2745 0.0000 0.0000 0.0000 8.7953" Properties=species:S:1:pos:R:3 pbc="T T T"
Y 0.0000 0.0000 0.0000
Zr 1.9305 2.6372 1.9814
S 0.0000 2.6372 0.2328
S 1.9305 0.0000 1.9654
Br 0.0000 2.6372 3.9358
Br 1.9305 0.0000 6.7530
```